Starting from a cell relaxed with PBE, the powder X-ray diffraction pattern of AlCuIr was simulated for a wavelength of 1.5418 Å.
Lines closer than 0.1° are merged.

Peak list (6 most intense, 10 to 80 degrees two-theta, by angle)
2θ = 27.22°, I = 48; 2θ = 31.54°, I = 89; 2θ = 45.20°, I = 100; 2θ = 53.57°, I = 24; 2θ = 56.16°, I = 23; 2θ = 74.84°, I = 29

a = 5.674 Å, b = 5.674 Å, c = 5.674 Å
α = 90.00°, β = 90.00°, γ = 90.00°
Space group F-43m (No. 216)
Symmetry-distinct sites (fractional):
Al  0.000  0.000  0.000 x4
Cu  0.250  0.250  0.750 x4
Ir  0.250  0.250  0.250 x4

---

Starting from a cell relaxed with PBE, the powder X-ray diffraction pattern of SrAl5CuIr was simulated for a wavelength of 1.5418 Å.
Lines closer than 0.1° are merged.

Peak list (6 most intense, 10 to 80 degrees two-theta, by angle)
2θ = 15.02°, I = 41; 2θ = 24.41°, I = 43; 2θ = 30.84°, I = 100; 2θ = 34.20°, I = 40; 2θ = 43.83°, I = 36; 2θ = 47.17°, I = 47

a = 4.071 Å, b = 7.294 Å, c = 10.025 Å
α = 90.00°, β = 90.00°, γ = 90.00°
Space group Imm2 (No. 44)
Symmetry-distinct sites (fractional):
Sr  0.000  0.000  0.000 x2
Al  0.000  0.188  0.655 x4
Al  0.000  0.190  0.343 x4
Al  0.000  0.500  0.990 x2
Cu  0.000  0.500  0.754 x2
Ir  0.000  0.500  0.230 x2

---

Starting from a cell relaxed with PBE, the powder X-ray diffraction pattern of LaAl3Cu was simulated for a wavelength of 1.5418 Å.
Lines closer than 0.1° are merged.

Peak list (6 most intense, 10 to 80 degrees two-theta, by angle)
2θ = 29.48°, I = 53; 2θ = 32.66°, I = 100; 2θ = 34.00°, I = 91; 2θ = 42.18°, I = 51; 2θ = 47.47°, I = 39; 2θ = 54.34°, I = 46

a = 4.285 Å, b = 4.285 Å, c = 10.706 Å
α = 90.00°, β = 90.00°, γ = 90.00°
Space group I4mm (No. 107)
Symmetry-distinct sites (fractional):
La  0.000  0.000  0.000 x2
Al  0.000  0.000  0.405 x2
Al  0.000  0.500  0.250 x4
Cu  0.000  0.000  0.632 x2

---

Starting from a cell relaxed with PBE, the powder X-ray diffraction pattern of LaAl8Cu4 was simulated for a wavelength of 1.5418 Å.
Lines closer than 0.1° are merged.

Peak list (6 most intense, 10 to 80 degrees two-theta, by angle)
2θ = 19.91°, I = 33; 2θ = 28.36°, I = 73; 2θ = 40.39°, I = 81; 2θ = 40.56°, I = 100; 2θ = 58.60°, I = 29; 2θ = 73.75°, I = 28

a = 8.891 Å, b = 8.891 Å, c = 5.165 Å
α = 90.00°, β = 90.00°, γ = 90.00°
Space group I4/mmm (No. 139)
Symmetry-distinct sites (fractional):
La  0.000  0.000  0.000 x2
Al  0.000  0.222  0.500 x8
Al  0.000  0.350  0.000 x8
Cu  0.250  0.250  0.250 x8

---

Starting from a cell relaxed with PBE, the powder X-ray diffraction pattern of LaNdAl4Cu2 was simulated for a wavelength of 1.5418 Å.
Lines closer than 0.1° are merged.

Peak list (6 most intense, 10 to 80 degrees two-theta, by angle)
2θ = 23.03°, I = 41; 2θ = 25.35°, I = 34; 2θ = 34.55°, I = 100; 2θ = 34.93°, I = 66; 2θ = 51.15°, I = 22; 2θ = 57.14°, I = 19

a = 7.027 Å, b = 4.116 Å, c = 11.160 Å
α = 90.00°, β = 90.00°, γ = 90.00°
Space group Amm2 (No. 38)
Symmetry-distinct sites (fractional):
La  0.000  0.000  0.000 x2
Nd  0.500  0.000  0.894 x2
Al  0.194  0.000  0.283 x4
Al  0.309  0.000  0.614 x4
Cu  0.000  0.000  0.724 x2
Cu  0.500  0.000  0.169 x2

---

Starting from a cell relaxed with PBE, the powder X-ray diffraction pattern of LaAl5CuPd was simulated for a wavelength of 1.5418 Å.
Lines closer than 0.1° are merged.

Peak list (6 most intense, 10 to 80 degrees two-theta, by angle)
2θ = 24.52°, I = 42; 2θ = 30.98°, I = 100; 2θ = 34.25°, I = 50; 2θ = 35.07°, I = 29; 2θ = 44.52°, I = 39; 2θ = 47.39°, I = 41

a = 4.095 Å, b = 7.261 Å, c = 9.831 Å
α = 90.00°, β = 90.00°, γ = 90.00°
Space group Imm2 (No. 44)
Symmetry-distinct sites (fractional):
La  0.000  0.000  0.000 x2
Al  0.000  0.187  0.656 x4
Al  0.000  0.189  0.356 x4
Al  0.000  0.500  0.012 x2
Cu  0.000  0.500  0.255 x2
Pd  0.000  0.500  0.766 x2

---

Starting from a cell relaxed with PBE, the powder X-ray diffraction pattern of La2PrAl7Cu2 was simulated for a wavelength of 1.5418 Å.
Lines closer than 0.1° are merged.

Peak list (6 most intense, 10 to 80 degrees two-theta, by angle)
2θ = 18.50°, I = 30; 2θ = 20.40°, I = 29; 2θ = 30.15°, I = 44; 2θ = 31.77°, I = 82; 2θ = 33.01°, I = 30; 2θ = 38.05°, I = 100

a = 5.6337 Å, b = 5.6337 Å, c = 26.1243 Å
α = 90.00°, β = 90.00°, γ = 120.00°
Space group R-3m (No. 166, hexagonal axes)
Symmetry-distinct sites (fractional):
La  0.0000  0.0000  0.1423 x6
Pr  0.0000  0.0000  0.0000 x3
Al  0.0000  0.0000  0.5000 x3
Al  0.0060  0.5030  0.9233 x18
Cu  0.0000  0.0000  0.3357 x6

---

Starting from a cell relaxed with PBE, the powder X-ray diffraction pattern of LaAl2CuPt was simulated for a wavelength of 1.5418 Å.
Lines closer than 0.1° are merged.

Peak list (6 most intense, 10 to 80 degrees two-theta, by angle)
2θ = 26.98°, I = 70; 2θ = 28.90°, I = 66; 2θ = 33.59°, I = 100; 2θ = 34.01°, I = 80; 2θ = 41.33°, I = 80; 2θ = 49.71°, I = 56

a = 4.369 Å, b = 4.369 Å, c = 10.107 Å
α = 90.00°, β = 90.00°, γ = 90.00°
Space group P4/nmm (No. 129, origin choice 2)
Symmetry-distinct sites (fractional):
La  0.250  0.250  0.245 x2
Al  0.250  0.250  0.881 x2
Al  0.250  0.750  0.500 x2
Cu  0.250  0.750  0.000 x2
Pt  0.250  0.250  0.632 x2

---

Starting from a cell relaxed with PBE, the powder X-ray diffraction pattern of LaSm2Al7Cu2 was simulated for a wavelength of 1.5418 Å.
Lines closer than 0.1° are merged.

Peak list (6 most intense, 10 to 80 degrees two-theta, by angle)
2θ = 18.71°, I = 34; 2θ = 20.63°, I = 29; 2θ = 30.50°, I = 47; 2θ = 32.13°, I = 87; 2θ = 33.39°, I = 32; 2θ = 38.49°, I = 100

a = 5.5718 Å, b = 5.5718 Å, c = 25.8325 Å
α = 90.00°, β = 90.00°, γ = 120.00°
Space group R-3m (No. 166, hexagonal axes)
Symmetry-distinct sites (fractional):
La  0.0000  0.0000  0.0000 x3
Sm  0.0000  0.0000  0.1417 x6
Al  0.0000  0.0000  0.5000 x3
Al  0.0064  0.5032  0.9214 x18
Cu  0.0000  0.0000  0.3355 x6

---

Starting from a cell relaxed with PBE, the powder X-ray diffraction pattern of La2TbAl7Cu2 was simulated for a wavelength of 1.5418 Å.
Lines closer than 0.1° are merged.

Peak list (6 most intense, 10 to 80 degrees two-theta, by angle)
2θ = 18.64°, I = 34; 2θ = 20.48°, I = 30; 2θ = 30.31°, I = 45; 2θ = 32.01°, I = 82; 2θ = 33.18°, I = 31; 2θ = 38.30°, I = 100

a = 5.5926 Å, b = 5.5926 Å, c = 26.0148 Å
α = 90.00°, β = 90.00°, γ = 120.00°
Space group R-3m (No. 166, hexagonal axes)
Symmetry-distinct sites (fractional):
La  0.0000  0.0000  0.1422 x6
Tb  0.0000  0.0000  0.0000 x3
Al  0.0000  0.0000  0.5000 x3
Al  0.0052  0.5026  0.9242 x18
Cu  0.0000  0.0000  0.3355 x6

---

Starting from a cell relaxed with PBE, the powder X-ray diffraction pattern of Li4Al3Cu was simulated for a wavelength of 1.5418 Å.
Lines closer than 0.1° are merged.

Peak list (6 most intense, 10 to 80 degrees two-theta, by angle)
2θ = 14.37°, I = 21; 2θ = 25.25°, I = 100; 2θ = 41.72°, I = 78; 2θ = 42.01°, I = 39; 2θ = 49.65°, I = 29; 2θ = 76.56°, I = 24

a = 4.301 Å, b = 4.301 Å, c = 6.165 Å
α = 90.00°, β = 90.00°, γ = 90.00°
Space group P-4m2 (No. 115)
Symmetry-distinct sites (fractional):
Li  0.000  0.000  0.000 x1
Li  0.000  0.500  0.744 x2
Li  0.500  0.500  0.500 x1
Al  0.000  0.500  0.265 x2
Al  0.500  0.500  0.000 x1
Cu  0.000  0.000  0.500 x1

---

Starting from a cell relaxed with PBE, the powder X-ray diffraction pattern of LiAlCu2 was simulated for a wavelength of 1.5418 Å.
Lines closer than 0.1° are merged.

Peak list (6 most intense, 10 to 80 degrees two-theta, by angle)
2θ = 30.64°, I = 54; 2θ = 34.36°, I = 2; 2θ = 43.88°, I = 100; 2θ = 54.47°, I = 13; 2θ = 63.79°, I = 15; 2θ = 72.42°, I = 15

a = 5.836 Å, b = 5.836 Å, c = 5.836 Å
α = 90.00°, β = 90.00°, γ = 90.00°
Space group Pm-3m (No. 221)
Symmetry-distinct sites (fractional):
Li  0.000  0.000  0.000 x1
Li  0.000  0.000  0.500 x3
Al  0.000  0.500  0.500 x3
Al  0.500  0.500  0.500 x1
Cu  0.248  0.248  0.248 x8